For Na6LiTl10, a DFT-relaxed cell (PBE, Alexandria) gives the calculated powder diffraction line list in this record (Cu Kα, 1.54184 Å).

Cell and atoms:
```
Na6LiTl10
1.0
9.155 0.000 0.000
-4.578 7.929 0.000
0.000 0.000 6.640
Na Li Tl
6 1 10
Direct
0.000 0.389 0.278 Na
0.000 0.611 0.722 Na
0.389 0.000 0.278 Na
0.389 0.389 0.722 Na
0.611 0.000 0.722 Na
0.611 0.611 0.278 Na
0.000 0.000 0.500 Li
0.000 0.251 0.799 Tl
0.000 0.749 0.201 Tl
0.251 0.000 0.799 Tl
0.251 0.251 0.201 Tl
0.333 0.667 0.000 Tl
0.333 0.667 0.500 Tl
0.667 0.333 0.000 Tl
0.667 0.333 0.500 Tl
0.749 0.000 0.201 Tl
0.749 0.749 0.799 Tl
```

Principal peaks in the range 2θ = 15–90°, most intense first:
h k l	2θ/deg	d (Å)	I/Imax
1 1 2	33.34	2.688	100
3 -1 1	32.79	2.731	84
2 -1 1	23.61	3.769	62
2 1 0	29.81	2.997	50
3 0 0	33.92	2.643	49
2 0 0	22.43	3.964	42
1 0 2	29.16	3.062	40
4 -2 2	48.30	1.884	29
4 0 2	53.87	1.702	28
4 1 0	52.92	1.730	22